No. 1
Theoretical X-ray diffraction stick pattern
Compound: Nb2VZn2O8
Radiation: Cu Kα X-rays
Structure: a DFT-relaxed cell (PBE+U, Alexandria)
Peak positions follow from Bragg's law for the DFT cell and can differ from measured ones.

Atomic structure:
a b c (Å): 10.192 10.192 5.317
angles (deg): 90.40 90.40 34.10
Atoms (fractional coordinates):
Nb 0.044 0.725 0.734
Nb 0.275 0.956 0.766
Nb 0.725 0.044 0.234
Nb 0.956 0.275 0.266
V 0.353 0.647 0.250
V 0.647 0.353 0.750
Zn 0.127 0.434 0.233
Zn 0.434 0.127 0.733
Zn 0.566 0.873 0.267
Zn 0.873 0.566 0.767
O 0.045 0.814 0.072
O 0.075 0.283 0.564
O 0.160 0.453 0.864
O 0.186 0.955 0.428
O 0.283 0.075 0.064
O 0.317 0.566 0.593
O 0.434 0.683 0.907
O 0.453 0.160 0.364
O 0.547 0.840 0.636
O 0.566 0.317 0.093
O 0.683 0.434 0.407
O 0.717 0.925 0.936
O 0.814 0.045 0.572
O 0.840 0.547 0.136
O 0.925 0.717 0.436
O 0.955 0.186 0.928

Most intense lines, 10° ≤ 2θ ≤ 80°, by angle:
22.85°, I = 26; 27.32°, I = 74; 32.08°, I = 100; 32.26°, I = 73; 33.71°, I = 58; 34.43°, I = 84; 43.79°, I = 25; 51.49°, I = 63; 59.14°, I = 28; 60.76°, I = 35


No. 2
Theoretical X-ray diffraction stick pattern
Compound: ZrNbV2O6
Radiation: Cu Kα X-rays
Structure: a DFT-relaxed cell (PBE+U, Alexandria)
Peak positions follow from Bragg's law for the DFT cell and can differ from measured ones.

Atomic structure:
a b c (Å): 5.328 5.330 5.786
angles (deg): 62.83 62.81 60.18
Atoms (fractional coordinates):
Zr 0.000 0.000 0.000
Nb 0.499 0.496 0.508
V 0.301 0.301 0.099
V 0.800 0.801 0.598
O 0.103 0.707 0.801
O 0.216 0.598 0.308
O 0.389 0.102 0.801
O 0.596 0.881 0.305
O 0.707 0.390 0.803
O 0.881 0.217 0.309

Most intense lines, 10° ≤ 2θ ≤ 80°, by angle:
22.72°, I = 88; 31.00°, I = 73; 31.13°, I = 36; 33.61°, I = 100; 46.40°, I = 43; 50.43°, I = 15; 50.46°, I = 42; 50.62°, I = 28; 58.42°, I = 26; 60.04°, I = 26